Starting from a GGA-PBE-relaxed structure, the X-ray diffraction stick pattern of LiPdF4 was calculated for copper Kα.

Main lines, by angle (10° ≤ 2θ ≤ 90°):
20.9°, rel. 31
23.0°, rel. 100
29.7°, rel. 9
35.5°, rel. 17
37.9°, rel. 34
41.5°, rel. 13
47.8°, rel. 16
58.2°, rel. 16
60.9°, rel. 16
66.7°, rel. 10

a b c (Å): 4.951 4.951 4.951
angles (deg): 105.15 105.15 118.50
Atoms (fractional coordinates):
1 Li 0.000 0.000 0.000
2 Pd 0.250 0.750 0.500
3 F 0.107 0.031 0.661
4 F 0.369 0.445 0.339
5 F 0.555 0.893 0.924
6 F 0.969 0.631 0.076